This entry pairs a crystal structure of Dy5Ho2Th3 with its simulated powder X-ray diffraction pattern. Radiation: a wavelength of 1.5418 Å. Structure: the PBE geometry in Alexandria.

Cell and atoms:
```
data_Dy5Ho2Th3
_symmetry_space_group_name_H-M 'C 1 2/m 1'
_symmetry_Int_Tables_number 12
_symmetry_space_group_name_Hall '-C 2y'
_cell_length_a 11.190
_cell_length_b 5.030
_cell_length_c 11.259
_cell_angle_alpha 90.00
_cell_angle_beta 90.54
_cell_angle_gamma 90.00
loop_
_atom_site_label
_atom_site_fract_x
_atom_site_fract_y
_atom_site_fract_z
Dy1 0.000 0.000 0.000
Dy2 0.200 0.000 0.600
Dy3 0.200 0.500 0.101
Ho1 0.098 0.500 0.798
Th1 0.000 0.500 0.500
Th2 0.099 0.000 0.299
```

Principal peaks in the range 10° ≤ 2θ ≤ 90°, in order of rising 2θ:
| 2theta | I/Imax | h k l |
| --- | --- | --- |
| 30.83 | 100 | 1 1 3 |
| 35.57 | 17 | 2 0 -4 |
| 35.70 | 17 | 0 2 0 |
| 35.98 | 17 | 4 0 2 |
| 60.96 | 15 | 5 1 -5 |
| 61.13 | 15 | 1 3 3 |

This entry pairs a crystal structure of Dy5HoTh3 with its simulated powder X-ray diffraction pattern. Radiation: a wavelength of 1.5418 Å. Structure: the PBE geometry in Alexandria.

Cell and atoms:
```
data_Dy5HoTh3
_symmetry_space_group_name_H-M 'C 1 2/c 1'
_symmetry_Int_Tables_number 15
_symmetry_space_group_name_Hall '-C 2yc'
_cell_length_a 18.271
_cell_length_b 6.382
_cell_length_c 11.622
_cell_angle_alpha 90.00
_cell_angle_beta 115.63
_cell_angle_gamma 90.00
loop_
_atom_site_label
_atom_site_fract_x
_atom_site_fract_y
_atom_site_fract_z
Dy1 0.000 0.113 0.250
Dy2 0.165 0.174 0.721
Dy3 0.174 0.338 0.363
Ho1 0.000 0.361 0.750
Th1 0.000 0.500 0.000
Th2 0.160 0.190 0.011
```

Principal peaks in the range 10° ≤ 2θ ≤ 90°, in order of rising 2θ:
| 2theta | I/Imax | h k l |
| --- | --- | --- |
| 24.32 | 17 | 1 1 2 |
| 27.47 | 28 | 3 1 -3 |
| 31.44 | 48 | 5 1 -3 |
| 31.66 | 44 | 1 1 3 |
| 32.58 | 100 | 6 0 0 |
| 34.27 | 48 | 0 0 4 |

This entry pairs a crystal structure of Dy2HoTh2 with its simulated powder X-ray diffraction pattern. Radiation: a wavelength of 1.5418 Å. Structure: the PBE geometry in Alexandria.

Cell and atoms:
```
data_Dy2HoTh2
_symmetry_space_group_name_H-M 'I m m m'
_symmetry_Int_Tables_number 71
_symmetry_space_group_name_Hall '-I 2 2'
_cell_length_a 3.504
_cell_length_b 5.792
_cell_length_c 15.821
_cell_angle_alpha 90.00
_cell_angle_beta 90.00
_cell_angle_gamma 90.00
loop_
_atom_site_label
_atom_site_fract_x
_atom_site_fract_y
_atom_site_fract_z
Dy1 0.000 0.000 0.101
Ho1 0.000 0.000 0.500
Th1 0.000 0.500 0.212
```

Principal peaks in the range 10° ≤ 2θ ≤ 90°, in order of rising 2θ:
| 2theta | I/Imax | h k l |
| --- | --- | --- |
| 30.63 | 41 | 1 0 3 |
| 30.88 | 55 | 0 2 0 |
| 31.92 | 100 | 1 1 2 |
| 32.24 | 92 | 0 1 5 |
| 44.05 | 31 | 1 2 3 |
| 55.75 | 29 | 0 3 5 |

This entry pairs a crystal structure of Dy5Ho4Th3 with its simulated powder X-ray diffraction pattern. Radiation: a wavelength of 1.5418 Å. Structure: the PBE geometry in Alexandria.

Cell and atoms:
```
data_Dy5Ho4Th3
_symmetry_space_group_name_H-M 'C 1 2/m 1'
_symmetry_Int_Tables_number 12
_symmetry_space_group_name_Hall '-C 2y'
_cell_length_a 17.674
_cell_length_b 5.713
_cell_length_c 8.631
_cell_angle_alpha 90.00
_cell_angle_beta 115.39
_cell_angle_gamma 90.00
loop_
_atom_site_label
_atom_site_fract_x
_atom_site_fract_y
_atom_site_fract_z
Dy1 0.000 0.000 0.000
Dy2 0.098 0.500 0.444
Dy3 0.164 0.500 0.894
Ho1 0.037 0.000 0.699
Ho2 0.213 0.000 0.655
Th1 0.000 0.500 0.000
Th2 0.182 0.000 0.229
```

Principal peaks in the range 10° ≤ 2θ ≤ 90°, in order of rising 2θ:
| 2theta | I/Imax | h k l |
| --- | --- | --- |
| 29.73 | 86 | 5 1 -1 |
| 30.19 | 100 | 1 1 2 |
| 31.31 | 82 | 0 2 0 |
| 32.06 | 96 | 4 0 -3 |
| 45.41 | 52 | 4 2 -3 |
| 56.24 | 22 | 3 1 -5 |

This entry pairs a crystal structure of Dy2Ho7Th2 with its simulated powder X-ray diffraction pattern. Radiation: a wavelength of 1.5418 Å. Structure: the PBE geometry in Alexandria.

Cell and atoms:
```
data_Dy2Ho7Th2
_symmetry_space_group_name_H-M 'C 1 2/m 1'
_symmetry_Int_Tables_number 12
_symmetry_space_group_name_Hall '-C 2y'
_cell_length_a 11.065
_cell_length_b 11.401
_cell_length_c 6.086
_cell_angle_alpha 90.00
_cell_angle_beta 113.40
_cell_angle_gamma 90.00
loop_
_atom_site_label
_atom_site_fract_x
_atom_site_fract_y
_atom_site_fract_z
Dy1 0.000 0.216 0.000
Ho1 0.000 0.000 0.500
Ho2 0.174 0.238 0.672
Ho3 0.237 0.000 0.081
Th1 0.084 0.500 0.307
```

Principal peaks in the range 10° ≤ 2θ ≤ 90°, in order of rising 2θ:
| 2theta | I/Imax | h k l |
| --- | --- | --- |
| 30.66 | 32 | 1 1 -2 |
| 31.39 | 49 | 0 4 0 |
| 32.23 | 100 | 2 2 1 |
| 32.43 | 31 | 4 0 -1 |
| 33.75 | 45 | 2 2 -2 |
| 34.33 | 29 | 3 3 -1 |

This entry pairs a crystal structure of Dy12Ho2Th with its simulated powder X-ray diffraction pattern. Radiation: a wavelength of 1.5418 Å. Structure: the PBE geometry in Alexandria.

Cell and atoms:
```
data_Dy12Ho2Th
_symmetry_space_group_name_H-M 'P 1 2/m 1'
_symmetry_Int_Tables_number 10
_symmetry_space_group_name_Hall '-P 2y'
_cell_length_a 3.594
_cell_length_b 5.669
_cell_length_c 23.494
_cell_angle_alpha 90.00
_cell_angle_beta 94.36
_cell_angle_gamma 90.00
loop_
_atom_site_label
_atom_site_fract_x
_atom_site_fract_y
_atom_site_fract_z
Dy1 0.036 0.000 0.067
Dy2 0.070 0.500 0.147
Dy3 0.161 0.000 0.322
Dy4 0.212 0.500 0.425
Dy5 0.279 0.000 0.557
Dy6 0.404 0.000 0.806
Ho1 0.358 0.500 0.715
Th1 0.500 0.500 0.000
```

Principal peaks in the range 10° ≤ 2θ ≤ 90°, in order of rising 2θ:
| 2theta | I/Imax | h k l |
| --- | --- | --- |
| 31.02 | 38 | 0 1 7 |
| 31.57 | 46 | 0 2 0 |
| 32.39 | 100 | 1 1 -4 |
| 34.19 | 20 | 1 1 -5 |
| 34.47 | 19 | 0 1 8 |
| 56.73 | 21 | 1 3 -4 |

This entry pairs a crystal structure of DyHo5Th2 with its simulated powder X-ray diffraction pattern. Radiation: a wavelength of 1.5418 Å. Structure: the PBE geometry in Alexandria.

Cell and atoms:
```
data_DyHo5Th2
_symmetry_space_group_name_H-M 'I m m a'
_symmetry_Int_Tables_number 74
_symmetry_space_group_name_Hall '-I 2b 2'
_cell_length_a 6.520
_cell_length_b 13.242
_cell_length_c 11.878
_cell_angle_alpha 90.00
_cell_angle_beta 90.00
_cell_angle_gamma 90.00
loop_
_atom_site_label
_atom_site_fract_x
_atom_site_fract_y
_atom_site_fract_z
Dy1 0.000 0.250 0.205
Ho1 0.000 0.118 0.968
Ho2 0.000 0.250 0.486
Ho3 0.250 0.017 0.250
Th1 0.000 0.000 0.500
Th2 0.250 0.250 0.750
```

Principal peaks in the range 10° ≤ 2θ ≤ 90°, in order of rising 2θ:
| 2theta | I/Imax | h k l |
| --- | --- | --- |
| 26.93 | 20 | 0 4 0 |
| 30.09 | 40 | 0 0 4 |
| 30.93 | 16 | 0 4 2 |
| 31.27 | 100 | 2 0 2 |
| 35.04 | 21 | 2 3 1 |
| 38.02 | 34 | 1 4 3 |

This entry pairs a crystal structure of Dy2Ho8Th3 with its simulated powder X-ray diffraction pattern. Radiation: a wavelength of 1.5418 Å. Structure: the PBE geometry in Alexandria.

Cell and atoms:
```
data_Dy2Ho8Th3
_symmetry_space_group_name_H-M 'C 1 2/m 1'
_symmetry_Int_Tables_number 12
_symmetry_space_group_name_Hall '-C 2y'
_cell_length_a 14.773
_cell_length_b 9.230
_cell_length_c 6.587
_cell_angle_alpha 90.00
_cell_angle_beta 99.58
_cell_angle_gamma 90.00
loop_
_atom_site_label
_atom_site_fract_x
_atom_site_fract_y
_atom_site_fract_z
Dy1 0.214 0.000 0.292
Ho1 0.082 0.500 0.372
Ho2 0.113 0.321 0.935
Ho3 0.196 0.000 0.785
Th1 0.000 0.000 0.000
Th2 0.000 0.169 0.500
```

Principal peaks in the range 10° ≤ 2θ ≤ 90°, in order of rising 2θ:
| 2theta | I/Imax | h k l |
| --- | --- | --- |
| 31.99 | 100 | 2 0 2 |
| 32.22 | 50 | 5 1 0 |
| 32.34 | 21 | 1 3 -1 |
| 32.53 | 28 | 4 2 -1 |
| 33.23 | 46 | 1 3 1 |
| 34.51 | 18 | 3 3 0 |

This entry pairs a crystal structure of DyHo12Th7 with its simulated powder X-ray diffraction pattern. Radiation: a wavelength of 1.5418 Å. Structure: the PBE geometry in Alexandria.

Cell and atoms:
```
data_DyHo12Th7
_symmetry_space_group_name_H-M 'R -3'
_symmetry_Int_Tables_number 148
_symmetry_space_group_name_Hall '-R 3'
_cell_length_a 11.9095
_cell_length_b 11.9095
_cell_length_c 15.9221
_cell_angle_alpha 90.00
_cell_angle_beta 90.00
_cell_angle_gamma 120.00
loop_
_atom_site_label
_atom_site_fract_x
_atom_site_fract_y
_atom_site_fract_z
Dy1 0.0000 0.0000 0.0000
Ho1 0.0237 0.5793 0.7205
Ho2 0.0499 0.4626 0.0839
Th1 0.0000 0.0000 0.5000
Th2 0.0557 0.8715 0.7905
```

Principal peaks in the range 10° ≤ 2θ ≤ 90°, in order of rising 2θ:
| 2theta | I/Imax | h k l |
| --- | --- | --- |
| 29.35 | 27 | 0 1 5 |
| 30.99 | 39 | 0 3 3 |
| 31.78 | 100 | 1 3 1 |
| 32.14 | 42 | 3 -1 4 |
| 33.28 | 63 | 4 -1 2 |
| 55.65 | 20 | 5 2 0 |

This entry pairs a crystal structure of Dy7Ho12Th with its simulated powder X-ray diffraction pattern. Radiation: a wavelength of 1.5418 Å. Structure: the PBE geometry in Alexandria.

Cell and atoms:
```
data_Dy7Ho12Th
_symmetry_space_group_name_H-M 'R -3'
_symmetry_Int_Tables_number 148
_symmetry_space_group_name_Hall '-R 3'
_cell_length_a 12.1451
_cell_length_b 12.1451
_cell_length_c 15.2291
_cell_angle_alpha 90.00
_cell_angle_beta 90.00
_cell_angle_gamma 120.00
loop_
_atom_site_label
_atom_site_fract_x
_atom_site_fract_y
_atom_site_fract_z
Dy1 0.0000 0.0000 0.0000
Dy2 0.0394 0.1856 0.3050
Ho1 0.0133 0.4449 0.2038
Ho2 0.0571 0.5868 0.5887
Th1 0.0000 0.0000 0.5000
```

Principal peaks in the range 10° ≤ 2θ ≤ 90°, in order of rising 2θ:
| 2theta | I/Imax | h k l |
| --- | --- | --- |
| 30.56 | 31 | 0 1 5 |
| 31.22 | 100 | 4 -3 1 |
| 32.56 | 58 | 3 -1 4 |
| 32.88 | 55 | 3 1 2 |
| 34.01 | 28 | 2 0 5 |
| 54.46 | 25 | 2 5 0 |

This entry pairs a crystal structure of Dy5Ho2Th2 with its simulated powder X-ray diffraction pattern. Radiation: a wavelength of 1.5418 Å. Structure: the PBE geometry in Alexandria.

Cell and atoms:
```
data_Dy5Ho2Th2
_symmetry_space_group_name_H-M 'I m a 2'
_symmetry_Int_Tables_number 46
_symmetry_space_group_name_Hall 'I 2 -2a'
_cell_length_a 14.796
_cell_length_b 11.859
_cell_length_c 6.603
_cell_angle_alpha 90.00
_cell_angle_beta 90.00
_cell_angle_gamma 90.00
loop_
_atom_site_label
_atom_site_fract_x
_atom_site_fract_y
_atom_site_fract_z
Dy1 0.054 0.243 0.000
Dy2 0.143 0.725 0.191
Dy3 0.250 0.229 0.192
Ho1 0.125 0.503 0.836
Th1 0.000 0.000 0.804
Th2 0.250 0.002 0.865
```

Principal peaks in the range 10° ≤ 2θ ≤ 90°, in order of rising 2θ:
| 2theta | I/Imax | h k l |
| --- | --- | --- |
| 28.67 | 100 | 4 1 1 |
| 30.14 | 87 | 0 4 0 |
| 31.00 | 75 | 0 2 2 |
| 31.15 | 45 | 5 1 0 |
| 33.34 | 45 | 2 2 2 |
| 35.93 | 81 | 4 3 1 |

This entry pairs a crystal structure of Dy2Ho2Th with its simulated powder X-ray diffraction pattern. Radiation: a wavelength of 1.5418 Å. Structure: the PBE geometry in Alexandria.

Cell and atoms:
```
data_Dy2Ho2Th
_symmetry_space_group_name_H-M 'C m c 21'
_symmetry_Int_Tables_number 36
_symmetry_space_group_name_Hall 'C 2c -2'
_cell_length_a 5.418
_cell_length_b 16.710
_cell_length_c 6.966
_cell_angle_alpha 90.00
_cell_angle_beta 90.00
_cell_angle_gamma 90.00
loop_
_atom_site_label
_atom_site_fract_x
_atom_site_fract_y
_atom_site_fract_z
Dy1 0.000 0.000 0.000
Dy2 0.000 0.200 0.499
Ho1 0.000 0.200 0.999
Ho2 0.000 0.392 0.749
Th1 0.000 0.391 0.250
```

Principal peaks in the range 10° ≤ 2θ ≤ 90°, in order of rising 2θ:
| 2theta | I/Imax | h k l |
| --- | --- | --- |
| 30.99 | 89 | 1 1 2 |
| 31.45 | 100 | 1 5 0 |
| 33.07 | 45 | 2 0 0 |
| 33.50 | 43 | 0 4 2 |
| 47.79 | 32 | 2 4 2 |
| 62.54 | 28 | 1 5 4 |